Entry 1:
For Be2MoCl, a PBE-relaxed structure gives the simulated powder diffraction line list in this record (Cu Kα (λ = 1.5418 Å)).
Intensities are scaled so that the largest is 100.

Top 10 peaks for 2θ from 5° to 70°, by intensity:
- 2θ 14.84, intensity 100
- 2θ 25.17, intensity 77
- 2θ 37.67, intensity 57
- 2θ 36.36, intensity 42
- 2θ 27.70, intensity 40
- 2θ 44.60, intensity 29
- 2θ 29.94, intensity 21
- 2θ 46.80, intensity 21
- 2θ 54.00, intensity 17
- 2θ 56.66, intensity 17

Structure:
abc: 3.842 3.842 6.015
angles: 96.50 96.50 43.83
Element x y z (fractional)
Be 0.000 0.000 0.000
Be 0.726 0.726 0.134
Mo 0.461 0.461 0.318
Cl 0.020 0.020 0.664



Entry 2:
For BeS2NCl, a PBE-relaxed structure gives the simulated powder diffraction line list in this record (Cu Kα (λ = 1.5418 Å)).
Intensities are scaled so that the largest is 100.

Top 10 peaks for 2θ from 5° to 70°, by intensity:
- 2θ 38.96, intensity 100
- 2θ 36.83, intensity 99
- 2θ 67.76, intensity 36
- 2θ 34.16, intensity 32
- 2θ 53.07, intensity 29
- 2θ 51.10, intensity 16
- 2θ 28.67, intensity 10
- 2θ 59.37, intensity 10
- 2θ 18.17, intensity 10
- 2θ 47.33, intensity 8

Structure:
abc: 4.881 4.881 3.113
angles: 90.00 90.00 90.00
Element x y z (fractional)
Be 0.000 0.000 0.000
S 0.000 0.500 0.500
S 0.500 0.000 0.500
N 0.000 0.000 0.500
Cl 0.500 0.500 0.000



Entry 3:
For Nd3BeCl3, a PBE-relaxed structure gives the simulated powder diffraction line list in this record (Cu Kα (λ = 1.5418 Å)).
Intensities are scaled so that the largest is 100.

Top 10 peaks for 2θ from 5° to 70°, by intensity:
- 2θ 30.97, intensity 100
- 2θ 44.36, intensity 71
- 2θ 26.73, intensity 64
- 2θ 10.83, intensity 33
- 2θ 28.92, intensity 33
- 2θ 52.55, intensity 31
- 2θ 18.82, intensity 25
- 2θ 55.08, intensity 24
- 2θ 36.48, intensity 14
- 2θ 64.54, intensity 11

Structure:
abc: 10.004 10.004 10.004
angles: 109.47 109.47 109.47
Element x y z (fractional)
Nd 0.006 0.013 0.256
Nd 0.006 0.494 0.750
Nd 0.013 0.256 0.006
Nd 0.244 0.256 0.750
Nd 0.244 0.487 0.494
Nd 0.256 0.006 0.013
Nd 0.256 0.750 0.244
Nd 0.487 0.494 0.244
Nd 0.494 0.244 0.487
Nd 0.494 0.750 0.006
Nd 0.750 0.006 0.494
Nd 0.750 0.244 0.256
Be 0.000 0.250 0.500
Be 0.250 0.250 0.250
Be 0.250 0.500 0.000
Be 0.500 0.000 0.250
Cl 0.250 0.755 0.745
Cl 0.250 0.995 0.505
Cl 0.505 0.250 0.995
Cl 0.505 0.755 0.509
Cl 0.509 0.505 0.755
Cl 0.745 0.250 0.755
Cl 0.745 0.995 0.991
Cl 0.755 0.509 0.505
Cl 0.755 0.745 0.250
Cl 0.991 0.745 0.995
Cl 0.995 0.505 0.250
Cl 0.995 0.991 0.745



Entry 4:
For Nd4BeCl5, a PBE-relaxed structure gives the simulated powder diffraction line list in this record (Cu Kα (λ = 1.5418 Å)).
Intensities are scaled so that the largest is 100.

Top 10 peaks for 2θ from 5° to 70°, by intensity:
- 2θ 30.91, intensity 100
- 2θ 10.70, intensity 64
- 2θ 30.38, intensity 49
- 2θ 44.01, intensity 35
- 2θ 27.23, intensity 34
- 2θ 43.78, intensity 32
- 2θ 10.02, intensity 28
- 2θ 16.37, intensity 24
- 2θ 20.40, intensity 21
- 2θ 25.92, intensity 20

Structure:
abc: 9.305 9.305 8.516
angles: 103.63 103.63 24.46
Element x y z (fractional)
Nd 0.001 0.001 0.266
Nd 0.346 0.346 0.410
Nd 0.654 0.654 0.590
Nd 0.999 0.999 0.734
Be 0.500 0.500 0.500
Cl 0.164 0.164 0.833
Cl 0.171 0.171 0.350
Cl 0.500 0.500 0.000
Cl 0.829 0.829 0.650
Cl 0.836 0.836 0.167



Entry 5:
For BeNiCl2, a PBE-relaxed structure gives the simulated powder diffraction line list in this record (Cu Kα (λ = 1.5418 Å)).
Intensities are scaled so that the largest is 100.

Top 10 peaks for 2θ from 5° to 70°, by intensity:
- 2θ 15.84, intensity 100
- 2θ 26.64, intensity 72
- 2θ 34.21, intensity 37
- 2θ 31.91, intensity 36
- 2θ 46.24, intensity 28
- 2θ 37.13, intensity 19
- 2θ 38.67, intensity 18
- 2θ 19.94, intensity 15
- 2θ 27.51, intensity 14
- 2θ 51.27, intensity 13

Structure:
abc: 4.469 3.242 5.617
angles: 90.00 94.97 90.00
Element x y z (fractional)
Be 0.000 0.000 0.000
Ni 0.667 0.500 0.036
Cl 0.376 0.000 0.221
Cl 0.964 0.500 0.759



Entry 6:
For Be2OsCl2, a PBE-relaxed structure gives the simulated powder diffraction line list in this record (Cu Kα (λ = 1.5418 Å)).
Intensities are scaled so that the largest is 100.

Top 10 peaks for 2θ from 5° to 70°, by intensity:
- 2θ 28.71, intensity 100
- 2θ 19.02, intensity 99
- 2θ 34.67, intensity 73
- 2θ 43.38, intensity 53
- 2θ 63.02, intensity 35
- 2θ 48.81, intensity 30
- 2θ 38.60, intensity 29
- 2θ 27.03, intensity 23
- 2θ 44.50, intensity 23
- 2θ 21.30, intensity 20

Structure:
abc: 6.597 6.597 4.171
angles: 90.00 90.00 90.00
Element x y z (fractional)
Be 0.230 0.270 0.000
Be 0.270 0.770 0.000
Be 0.730 0.230 0.000
Be 0.770 0.730 0.000
Os 0.000 0.000 0.000
Os 0.500 0.500 0.000
Cl 0.179 0.321 0.500
Cl 0.321 0.821 0.500
Cl 0.679 0.179 0.500
Cl 0.821 0.679 0.500



Entry 7:
For Pm3BeCl3, a PBE-relaxed structure gives the simulated powder diffraction line list in this record (Cu Kα (λ = 1.5418 Å)).
Intensities are scaled so that the largest is 100.

Top 10 peaks for 2θ from 5° to 70°, by intensity:
- 2θ 31.26, intensity 100
- 2θ 44.80, intensity 71
- 2θ 26.99, intensity 65
- 2θ 10.93, intensity 34
- 2θ 29.20, intensity 33
- 2θ 53.08, intensity 32
- 2θ 19.00, intensity 25
- 2θ 55.64, intensity 24
- 2θ 36.84, intensity 14
- 2θ 65.22, intensity 11

Structure:
abc: 9.911 9.911 9.911
angles: 109.47 109.47 109.47
Element x y z (fractional)
Pm 0.007 0.013 0.257
Pm 0.007 0.493 0.750
Pm 0.013 0.257 0.007
Pm 0.243 0.257 0.750
Pm 0.243 0.487 0.493
Pm 0.257 0.007 0.013
Pm 0.257 0.750 0.243
Pm 0.487 0.493 0.243
Pm 0.493 0.243 0.487
Pm 0.493 0.750 0.007
Pm 0.750 0.007 0.493
Pm 0.750 0.243 0.257
Be 0.000 0.250 0.500
Be 0.250 0.250 0.250
Be 0.250 0.500 0.000
Be 0.500 0.000 0.250
Cl 0.250 0.755 0.745
Cl 0.250 0.995 0.505
Cl 0.505 0.250 0.995
Cl 0.505 0.755 0.510
Cl 0.510 0.505 0.755
Cl 0.745 0.250 0.755
Cl 0.745 0.995 0.990
Cl 0.755 0.510 0.505
Cl 0.755 0.745 0.250
Cl 0.990 0.745 0.995
Cl 0.995 0.505 0.250
Cl 0.995 0.990 0.745



Entry 8:
For BePtCl, a PBE-relaxed structure gives the simulated powder diffraction line list in this record (Cu Kα (λ = 1.5418 Å)).
Intensities are scaled so that the largest is 100.

Top 10 peaks for 2θ from 5° to 70°, by intensity:
- 2θ 9.41, intensity 100
- 2θ 18.89, intensity 19
- 2θ 39.22, intensity 18
- 2θ 42.75, intensity 15
- 2θ 28.50, intensity 13
- 2θ 48.16, intensity 8
- 2θ 37.98, intensity 7
- 2θ 38.59, intensity 7
- 2θ 47.63, intensity 7
- 2θ 55.05, intensity 7

Structure:
abc: 9.396 5.442 4.818
angles: 90.00 90.00 90.00
Element x y z (fractional)
Be 0.192 0.250 0.000
Be 0.192 0.250 0.500
Be 0.808 0.750 0.000
Be 0.808 0.750 0.500
Pt 0.004 0.122 0.250
Pt 0.004 0.378 0.750
Pt 0.996 0.622 0.250
Pt 0.996 0.878 0.750
Cl 0.321 0.045 0.750
Cl 0.321 0.455 0.250
Cl 0.679 0.545 0.750
Cl 0.679 0.955 0.250



Entry 9:
For RbBeCl3, a PBE-relaxed structure gives the simulated powder diffraction line list in this record (Cu Kα (λ = 1.5418 Å)).
Intensities are scaled so that the largest is 100.

Top 10 peaks for 2θ from 5° to 70°, by intensity:
- 2θ 29.42, intensity 100
- 2θ 30.87, intensity 96
- 2θ 25.32, intensity 62
- 2θ 19.95, intensity 56
- 2θ 32.44, intensity 44
- 2θ 31.13, intensity 30
- 2θ 34.98, intensity 22
- 2θ 40.67, intensity 22
- 2θ 39.91, intensity 19
- 2θ 35.59, intensity 19

Structure:
abc: 5.539 7.278 7.282
angles: 75.11 86.17 86.13
Element x y z (fractional)
Rb 0.238 0.323 0.324
Rb 0.762 0.677 0.676
Be 0.500 0.156 0.845
Be 0.500 0.844 0.155
Cl 0.282 0.388 0.828
Cl 0.282 0.827 0.387
Cl 0.310 0.908 0.907
Cl 0.690 0.092 0.093
Cl 0.718 0.173 0.613
Cl 0.718 0.612 0.172



Entry 10:
For RbBeCl3, a PBE-relaxed structure gives the simulated powder diffraction line list in this record (Cu Kα (λ = 1.5418 Å)).
Intensities are scaled so that the largest is 100.

Top 10 peaks for 2θ from 5° to 70°, by intensity:
- 2θ 32.35, intensity 100
- 2θ 20.81, intensity 44
- 2θ 22.43, intensity 42
- 2θ 30.78, intensity 36
- 2θ 37.07, intensity 34
- 2θ 24.67, intensity 31
- 2θ 38.41, intensity 18
- 2θ 55.73, intensity 18
- 2θ 39.83, intensity 16
- 2θ 59.84, intensity 16

Structure:
abc: 8.021 8.021 5.811
angles: 90.00 90.00 128.31
Element x y z (fractional)
Rb 0.153 0.847 0.500
Rb 0.847 0.153 0.000
Be 0.426 0.574 0.583
Be 0.574 0.426 0.083
Cl 0.119 0.402 0.504
Cl 0.402 0.119 0.004
Cl 0.441 0.559 0.947
Cl 0.559 0.441 0.447
Cl 0.598 0.881 0.504
Cl 0.881 0.598 0.004



Entry 11:
For Rb2BeZnCl6, a PBE-relaxed structure gives the simulated powder diffraction line list in this record (Cu Kα (λ = 1.5418 Å)).
Intensities are scaled so that the largest is 100.

Top 10 peaks for 2θ from 5° to 70°, by intensity:
- 2θ 30.73, intensity 100
- 2θ 24.74, intensity 74
- 2θ 36.36, intensity 71
- 2θ 50.73, intensity 44
- 2θ 34.14, intensity 41
- 2θ 25.49, intensity 33
- 2θ 29.83, intensity 30
- 2θ 44.48, intensity 25
- 2θ 52.37, intensity 21
- 2θ 64.01, intensity 19

Structure:
abc: 7.212 7.212 7.212
angles: 122.04 122.04 86.51
Element x y z (fractional)
Rb 0.250 0.750 0.500
Rb 0.750 0.250 0.500
Be 0.000 0.000 0.000
Zn 0.500 0.500 0.000
Cl 0.219 0.219 0.438
Cl 0.219 0.781 0.000
Cl 0.289 0.289 0.000
Cl 0.711 0.711 0.000
Cl 0.781 0.219 0.000
Cl 0.781 0.781 0.562



Entry 12:
For Rb2ZrBeCl6, a PBE-relaxed structure gives the simulated powder diffraction line list in this record (Cu Kα (λ = 1.5418 Å)).
Intensities are scaled so that the largest is 100.

Top 10 peaks for 2θ from 5° to 70°, by intensity:
- 2θ 31.06, intensity 100
- 2θ 36.18, intensity 91
- 2θ 25.19, intensity 85
- 2θ 51.72, intensity 59
- 2θ 35.67, intensity 48
- 2θ 25.37, intensity 42
- 2θ 44.60, intensity 35
- 2θ 52.10, intensity 29
- 2θ 64.74, intensity 28
- 2θ 29.80, intensity 25

Structure:
abc: 7.070 7.070 7.070
angles: 120.45 120.45 89.22
Element x y z (fractional)
Rb 0.250 0.750 0.500
Rb 0.750 0.250 0.500
Zr 0.000 0.000 0.000
Be 0.500 0.500 0.000
Cl 0.264 0.264 0.000
Cl 0.268 0.268 0.536
Cl 0.268 0.732 0.000
Cl 0.732 0.268 0.000
Cl 0.732 0.732 0.464
Cl 0.736 0.736 0.000